Starting from a GGA-PBE-relaxed structure, the X-ray powder pattern of PrHoMg2 was simulated for CuKα.

Cell lengths 7.688, 7.688, 7.688 Å; angles 90.00, 90.00, 90.00 degrees
Positions (direct):
Pr 0.000 0.000 0.000
Pr 0.000 0.500 0.500
Pr 0.500 0.000 0.500
Pr 0.500 0.500 0.000
Ho 0.000 0.000 0.500
Ho 0.000 0.500 0.000
Ho 0.500 0.000 0.000
Ho 0.500 0.500 0.500
Mg 0.250 0.250 0.250
Mg 0.250 0.250 0.750
Mg 0.250 0.750 0.250
Mg 0.250 0.750 0.750
Mg 0.750 0.250 0.250
Mg 0.750 0.250 0.750
Mg 0.750 0.750 0.250
Mg 0.750 0.750 0.750

Principal peaks in the range 10 to 80 degrees two-theta, in order of falling intensity:
| two_theta | intensity | (hkl) |
| --- | --- | --- |
| 33.0 | 1000 | 2 2 0 |
| 23.1 | 612 | 2 0 0 |
| 58.8 | 377 | 4 2 2 |
| 53.3 | 262 | 4 2 0 |
| 40.7 | 190 | 2 2 2 |
| 47.3 | 182 | 4 0 0 |
| 78.7 | 160 | 6 2 0 |
| 74.0 | 125 | 6 0 0 |
| 69.1 | 116 | 4 4 0 |
| 20.0 | 7 | 1 1 1 |

Starting from a GGA-PBE-relaxed structure, the X-ray powder pattern of MoW2S6 was simulated for CuKα.

Cell lengths 3.188, 3.188, 29.115 Å; angles 90.00, 90.00, 120.00 degrees
Positions (direct):
Mo 0.000 0.000 0.000
W 0.667 0.333 0.231
W 0.667 0.333 0.769
S 0.000 0.000 0.177
S 0.000 0.000 0.285
S 0.000 0.000 0.715
S 0.000 0.000 0.823
S 0.667 0.333 0.054
S 0.667 0.333 0.946

Principal peaks in the range 10 to 80 degrees two-theta, in order of falling intensity:
| two_theta | intensity | (hkl) |
| --- | --- | --- |
| 12.2 | 1000 | 0 0 4 |
| 37.5 | 290 | 1 0 6 |
| 39.2 | 289 | 1 0 7 |
| 47.6 | 261 | 1 0 11 |
| 33.0 | 232 | 1 0 2 |
| 15.2 | 221 | 0 0 5 |
| 34.8 | 198 | 1 0 4 |
| 32.4 | 189 | 1 0 0 |
| 57.9 | 131 | 1 1 0 |
| 59.3 | 101 | 1 1 4 |